This entry pairs a crystal structure of Pa2F13 with its theoretical X-ray powder pattern. Radiation: Cu Kα. Structure: a crystal structure in Alexandria, relaxed with GGA-PBE.
Neutral-atom scattering factors, no anomalous dispersion.

Structural model:
a = 5.6286 Å, b = 6.4819 Å, c = 8.1602 Å
α = 78.51°, β = 87.82°, γ = 65.19°
Space group P-1 (No. 2)
Unique sites:
Pa  0.1070  0.1444  0.2398 (multiplicity 2)
F  0.0000  0.0000  0.5000 (multiplicity 1)
F  0.0763  0.4213  0.3407 (multiplicity 2)
F  0.1291  0.8536  0.1603 (multiplicity 2)
F  0.2227  0.2722  0.0090 (multiplicity 2)
F  0.2922  0.6951  0.8255 (multiplicity 2)
F  0.4740  0.5327  0.5799 (multiplicity 2)
F  0.4939  0.9620  0.3277 (multiplicity 2)

Top 12 peaks for 2θ = 10–90°, low angle first:
| 2θ (°) | d [Å] | I (rel.) |
| --- | --- | --- |
| 15.38 | 5.762 | 55 |
| 17.06 | 5.198 | 71 |
| 17.38 | 5.103 | 73 |
| 19.72 | 4.503 | 100 |
| 20.17 | 4.404 | 49 |
| 20.75 | 4.280 | 66 |
| 22.11 | 4.021 | 66 |
| 22.26 | 3.993 | 66 |
| 27.81 | 3.208 | 36 |
| 30.79 | 2.904 | 34 |
| 37.56 | 2.395 | 37 |
| 40.05 | 2.251 | 43 |